This entry pairs a crystal structure of Ho3MgAu4 with its theoretical powder XRD pattern. Radiation: Cu Kα X-rays. Structure: DFT lattice parameters and positions (GGA-PBE).
Peak positions follow from Bragg's law for the DFT cell and can differ from measured ones.

Structural model:
Cell: 4.9834 4.9834 7.0574 Å, 90.00 90.00 90.00°
Fractional positions:
Ho (0.0000, 0.0000, 0.0000)
Ho (0.0000, 0.0000, 0.5000)
Ho (0.5000, 0.5000, 0.0000)
Mg (0.5000, 0.5000, 0.5000)
Au (0.0000, 0.5000, 0.2525)
Au (0.0000, 0.5000, 0.7475)
Au (0.5000, 0.0000, 0.2525)
Au (0.5000, 0.0000, 0.7475)

Top 10 peaks for 10° ≤ 2θ ≤ 90°, by intensity:
2θ/deg	I (rel.)
36.03	100
64.78	37
51.87	18
76.41	12
87.54	11
87.41	6
25.26	5
21.83	3
58.55	2
17.80	2

---

This entry pairs a crystal structure of Pm4Y4Mg with its theoretical powder XRD pattern. Radiation: Cu Kα X-rays. Structure: DFT lattice parameters and positions (GGA-PBE).
Peak positions follow from Bragg's law for the DFT cell and can differ from measured ones.

Structural model:
Cell: 7.1313 8.0008 10.7166 Å, 102.77 90.24 102.82°
Fractional positions:
Pm (0.0814, 0.3304, 0.3868)
Pm (0.2471, 0.9961, 0.8336)
Pm (0.4141, 0.6638, 0.6111)
Pm (0.4163, 0.6659, 0.9449)
Pm (0.5837, 0.3341, 0.0551)
Pm (0.5859, 0.3362, 0.3889)
Pm (0.7529, 0.0039, 0.1664)
Pm (0.9186, 0.6696, 0.6132)
Y (0.0833, 0.3367, 0.0596)
Y (0.0870, 0.3350, 0.7227)
Y (0.2485, 0.9999, 0.5014)
Y (0.2515, 0.9935, 0.1689)
Y (0.7485, 0.0065, 0.8311)
Y (0.7515, 0.0001, 0.4986)
Y (0.9130, 0.6650, 0.2773)
Y (0.9167, 0.6633, 0.9404)
Mg (0.4158, 0.6707, 0.2784)
Mg (0.5842, 0.3293, 0.7216)

Top 10 peaks for 10° ≤ 2θ ≤ 90°, by intensity:
2θ/deg	I (rel.)
30.65	100
35.47	34
51.15	18
60.69	17
35.65	17
51.04	12
60.77	10
60.94	10
63.84	9
51.24	6

---

This entry pairs a crystal structure of Cs3Bi4Pb4 with its theoretical powder XRD pattern. Radiation: Cu Kα X-rays. Structure: DFT lattice parameters and positions (GGA-PBE).
Peak positions follow from Bragg's law for the DFT cell and can differ from measured ones.

Structural model:
Cell: 10.3401 10.3401 10.3401 Å, 146.37 130.96 60.78°
Fractional positions:
Cs (0.0000, 0.0000, 0.0000)
Cs (0.3805, 0.8805, 0.5000)
Cs (0.6195, 0.1195, 0.5000)
Bi (0.2169, 0.2169, 0.0000)
Bi (0.3182, 0.5000, 0.8182)
Bi (0.6818, 0.5000, 0.1818)
Bi (0.7831, 0.7831, 0.0000)
Pb (0.0213, 0.3275, 0.6938)
Pb (0.3662, 0.6725, 0.6938)
Pb (0.6338, 0.3275, 0.3062)
Pb (0.9787, 0.6725, 0.3062)

Top 10 peaks for 10° ≤ 2θ ≤ 90°, by intensity:
2θ/deg	I (rel.)
27.03	100
26.04	90
29.87	70
36.23	48
34.79	39
36.02	38
46.51	30
29.70	27
15.62	22
36.78	22

---

This entry pairs a crystal structure of Ca2BeReN4 with its theoretical powder XRD pattern. Radiation: Cu Kα X-rays. Structure: DFT lattice parameters and positions (GGA-PBE).
Peak positions follow from Bragg's law for the DFT cell and can differ from measured ones.

Structural model:
Cell: 5.5616 6.6051 5.7489 Å, 90.00 90.00 90.00°
Fractional positions:
Ca (0.2500, 0.0021, 0.2406)
Ca (0.2500, 0.4979, 0.2406)
Ca (0.7500, 0.5021, 0.7594)
Ca (0.7500, 0.9979, 0.7594)
Be (0.2500, 0.7500, 0.8094)
Be (0.7500, 0.2500, 0.1906)
Re (0.2500, 0.2500, 0.7916)
Re (0.7500, 0.7500, 0.2084)
N (0.0111, 0.7500, 0.0043)
N (0.2500, 0.5062, 0.6516)
N (0.2500, 0.9938, 0.6516)
N (0.4889, 0.7500, 0.0043)
N (0.5111, 0.2500, 0.9957)
N (0.7500, 0.0062, 0.3484)
N (0.7500, 0.4938, 0.3484)
N (0.9889, 0.2500, 0.9957)

Top 10 peaks for 10° ≤ 2θ ≤ 90°, by intensity:
2θ/deg	I (rel.)
35.25	100
20.88	93
20.48	92
32.19	40
22.24	39
38.46	38
37.77	34
45.38	32
31.11	31
55.62	25